Calculated powder XRD pattern
Compound: Nd8Ho5Th
Radiation: Cu Kα (weighted mean of Kα1 and Kα2)
Structure: a PBE-relaxed structure
Kinematic intensities with the Lorentz-polarization factor, no thermal factor.

The 10 most intense peaks (10° ≤ 2θ ≤ 80°), sorted by position:
| (hkl) | d [Å] | Rel. int. |
| --- | --- | --- |
| 1 2 -2 | 2.990 | 22 |
| -2 2 1 | 2.924 | 69 |
| 2 1 -2 | 2.895 | 62 |
| 1 1 1 | 2.868 | 100 |
| 2 -2 2 | 2.847 | 95 |
| 1 1 -3 | 2.832 | 33 |
| 0 1 -3 | 2.817 | 76 |
| 3 -1 0 | 2.736 | 39 |
| 0 3 -1 | 2.529 | 28 |
| 4 -4 1 | 1.799 | 22 |

```
data_Nd8Ho5Th
_chemical_formula_sum 'Nd8 Ho5 Th1'
_space_group_name_H-M_alt 'P 1'
_space_group_IT_number 1
_cell_length_a 8.4277
_cell_length_b 8.6916
_cell_length_c 8.7179
_cell_angle_alpha 116.52
_cell_angle_beta 96.77
_cell_angle_gamma 114.57
loop_
_space_group_symop_operation_xyz
'x,y,z'
loop_
_atom_site_label
_atom_site_type_symbol
_atom_site_fract_x
_atom_site_fract_y
_atom_site_fract_z
Nd1 Nd 0.0000 0.0000 0.0000
Nd2 Nd 0.0735 0.3044 0.7785
Nd3 Nd 0.1664 0.7252 0.1876
Nd4 Nd 0.3041 0.2225 0.4349
Nd5 Nd 0.4218 0.4385 0.1874
Nd6 Nd 0.6179 0.8108 0.6610
Nd7 Nd 0.7032 0.0010 0.3319
Nd8 Nd 0.7975 0.4760 0.6401
Ho1 Ho 0.1460 0.5239 0.4626
Ho2 Ho 0.3486 0.8639 0.9314
Ho3 Ho 0.4251 0.0805 0.6849
Ho4 Ho 0.7687 0.2990 0.0939
Ho5 Ho 0.9359 0.7968 0.4673
Th1 Th 0.5925 0.5864 0.9368
```